This entry pairs a crystal structure of K2NaFeO3 with its theoretical X-ray powder pattern. Radiation: Cu Kα (weighted mean of Kα1 and Kα2). Structure: a crystal structure in Alexandria, relaxed with PBE+U.
Kinematic intensities with the Lorentz-polarization factor, no thermal factor.

Cell and atoms:
Cell lengths 6.418, 6.418, 6.753 Å; angles 90.00, 90.00, 120.51 degrees
Sites, in units of the cell vectors:
K  0.250  0.250  0.500
K  0.250  0.750  0.842
K  0.750  0.250  0.158
K  0.750  0.750  0.500
Na  0.250  0.250  0.000
Na  0.750  0.750  0.000
Fe  0.250  0.750  0.334
Fe  0.750  0.250  0.666
O  0.000  0.500  0.500
O  0.107  0.893  0.185
O  0.393  0.607  0.185
O  0.500  0.000  0.500
O  0.607  0.393  0.815
O  0.893  0.107  0.815

The 10 most intense peaks (2θ from 10° to 90°), most intense first:
2θ (°)  I/Imax
31.0  100
32.4  87
38.7  63
38.9  58
32.1  52
20.8  39
15.9  26
56.9  26
51.3  24
57.4  21